Entry 1:
Simulated PXRD pattern of PrBiRh for Cu Kα (λ = 1.5418 Å), from a crystal structure in Alexandria, relaxed with GGA-PBE.
Peak positions follow from Bragg's law for the DFT cell and can differ from measured ones.

Cell and atoms:
```
data_PrBiRh
_symmetry_space_group_name_H-M 'P m m n'
_symmetry_Int_Tables_number 59
_cell_length_a 4.7639
_cell_length_b 15.2798
_cell_length_c 8.1344
_cell_angle_alpha 90.00
_cell_angle_beta 90.00
_cell_angle_gamma 90.00
loop_
_symmetry_equiv_pos_as_xyz
'x,y,z'
'-x,-y,-z'
'-x+1/2,-y+1/2,z'
'x+1/2,y+1/2,-z'
'x+1/2,-y,-z'
'-x+1/2,y,z'
'-x,y+1/2,-z'
'x,-y+1/2,z'
loop_
_atom_site_label
_atom_site_type_symbol
_atom_site_fract_x
_atom_site_fract_y
_atom_site_fract_z
Pr1 Pr 0.2500 0.0055 0.2131
Pr2 Pr 0.2500 0.2500 0.2938
Pr3 Pr 0.2500 0.7500 0.2865
Bi1 Bi 0.2500 0.1034 0.5937
Bi2 Bi 0.2500 0.6442 0.9107
Rh1 Rh 0.2500 0.1470 0.9266
Rh2 Rh 0.2500 0.5914 0.5845
```

Peak list (10 most intense, 10 to 90 degrees two-theta, sorted by position)
h k l	Position (°2θ)	I/Imax
1 2 2	31.20	30
1 4 1	31.98	100
0 4 2	32.15	39
0 6 1	36.99	25
2 0 0	37.77	44
1 0 3	38.19	72
2 4 2	50.42	22
2 6 1	53.90	17
1 6 4	61.52	19
3 0 3	68.48	30

Entry 2:
Simulated PXRD pattern of KNa2InHg4 for Cu Kα (λ = 1.5418 Å), from a crystal structure in Alexandria, relaxed with GGA-PBE.
Peak positions follow from Bragg's law for the DFT cell and can differ from measured ones.

Cell and atoms:
```
data_KNa2InHg4
_symmetry_space_group_name_H-M 'R -3 m'
_symmetry_Int_Tables_number 166
_symmetry_space_group_name_Hall '-R 3 2"'
_cell_length_a 5.3173
_cell_length_b 5.3173
_cell_length_c 28.2391
_cell_angle_alpha 90.00
_cell_angle_beta 90.00
_cell_angle_gamma 120.00
loop_
_atom_site_label
_atom_site_type_symbol
_atom_site_fract_x
_atom_site_fract_y
_atom_site_fract_z
K1 K 0.0000 0.0000 0.0000
Na1 Na 0.0000 0.0000 0.2399
In1 In 0.0000 0.0000 0.5000
Hg1 Hg 0.0000 0.0000 0.1247
Hg2 Hg 0.0000 0.0000 0.3876
```

Peak list (10 most intense, 10 to 90 degrees two-theta, sorted by position)
h k l	Position (°2θ)	I/Imax
1 0 4	23.06	82
0 1 8	31.95	97
1 1 0	33.71	100
1 0 10	37.36	13
0 2 4	41.24	19
2 0 8	47.13	33
2 1 4	54.28	18
1 2 8	59.19	33
3 0 0	60.29	23
3 1 8	79.87	14

Entry 3:
Simulated PXRD pattern of Nd4Y3Er2 for Cu Kα (λ = 1.5418 Å), from a crystal structure in Alexandria, relaxed with GGA-PBE.
Peak positions follow from Bragg's law for the DFT cell and can differ from measured ones.

Cell and atoms:
```
data_Nd4Y3Er2
_symmetry_space_group_name_H-M 'C 1 2/m 1'
_symmetry_Int_Tables_number 12
_cell_length_a 11.3542
_cell_length_b 5.1106
_cell_length_c 10.8258
_cell_angle_alpha 90.00
_cell_angle_beta 108.10
_cell_angle_gamma 90.00
loop_
_symmetry_equiv_pos_as_xyz
'x,y,z'
'-x,-y,-z'
'-x,y,-z'
'x,-y,z'
'x+1/2,y+1/2,z'
'-x+1/2,-y+1/2,-z'
'-x+1/2,y+1/2,-z'
'x+1/2,-y+1/2,z'
loop_
_atom_site_label
_atom_site_type_symbol
_atom_site_fract_x
_atom_site_fract_y
_atom_site_fract_z
Nd1 Nd 0.0004 0.0000 0.1682
Nd2 Nd 0.1668 0.5000 0.3886
Y1 Y 0.0000 0.0000 0.5000
Y2 Y 0.1665 0.5000 0.0545
Er1 Er 0.1676 0.5000 0.7235
```

Peak list (10 most intense, 10 to 90 degrees two-theta, sorted by position)
h k l	Position (°2θ)	I/Imax
3 1 0	30.35	100
2 0 3	35.10	34
4 0 -3	35.36	17
2 2 3	50.52	18
6 0 0	50.72	18
1 1 6	60.02	14
5 1 3	60.09	14
5 1 -6	60.35	7
7 1 -3	60.46	7
2 2 -6	63.08	6

Entry 4:
Simulated PXRD pattern of Li6Hg for Cu Kα (λ = 1.5418 Å), from a crystal structure in Alexandria, relaxed with GGA-PBE.
Peak positions follow from Bragg's law for the DFT cell and can differ from measured ones.

Cell and atoms:
```
data_Li6Hg
_symmetry_space_group_name_H-M 'P 4/m m m'
_symmetry_Int_Tables_number 123
_symmetry_space_group_name_Hall '-P 4 2'
_cell_length_a 4.6490
_cell_length_b 4.6490
_cell_length_c 6.3298
_cell_angle_alpha 90.00
_cell_angle_beta 90.00
_cell_angle_gamma 90.00
loop_
_atom_site_label
_atom_site_type_symbol
_atom_site_fract_x
_atom_site_fract_y
_atom_site_fract_z
Li1 Li 0.0000 0.0000 0.0000
Li2 Li 0.0000 0.5000 0.2494
Li3 Li 0.5000 0.5000 0.5000
Hg1 Hg 0.0000 0.0000 0.5000
```

Peak list (10 most intense, 10 to 90 degrees two-theta, sorted by position)
h k l	Position (°2θ)	I/Imax
0 0 1	13.99	92
1 0 0	19.09	93
1 0 1	23.75	100
1 1 0	27.13	36
1 1 1	30.64	60
1 0 2	34.28	45
1 1 2	39.53	41
2 0 1	41.38	27
2 1 1	45.94	36
2 1 2	52.67	27

Entry 5:
Simulated PXRD pattern of PdS2Cl3 for Cu Kα (λ = 1.5418 Å), from a crystal structure in Alexandria, relaxed with GGA-PBE.
Peak positions follow from Bragg's law for the DFT cell and can differ from measured ones.

Cell and atoms:
```
data_PdS2Cl3
_symmetry_space_group_name_H-M 'C 1 2/c 1'
_symmetry_Int_Tables_number 15
_cell_length_a 7.5891
_cell_length_b 9.7382
_cell_length_c 8.9389
_cell_angle_alpha 90.00
_cell_angle_beta 93.89
_cell_angle_gamma 90.00
loop_
_symmetry_equiv_pos_as_xyz
'x,y,z'
'-x,-y,-z'
'-x,y,-z+1/2'
'x,-y,z+1/2'
'x+1/2,y+1/2,z'
'-x+1/2,-y+1/2,-z'
'-x+1/2,y+1/2,-z+1/2'
'x+1/2,-y+1/2,z+1/2'
loop_
_atom_site_label
_atom_site_type_symbol
_atom_site_fract_x
_atom_site_fract_y
_atom_site_fract_z
Pd1 Pd 0.0000 0.0121 0.2500
S1 S 0.0708 0.2128 0.6644
Cl1 Cl 0.0000 0.2455 0.2500
Cl2 Cl 0.2476 0.4808 0.5850
```

Peak list (10 most intense, 10 to 90 degrees two-theta, sorted by position)
h k l	Position (°2θ)	I/Imax
1 1 0	14.82	100
0 2 0	18.24	17
0 0 2	19.91	34
2 0 0	23.50	15
1 1 -2	24.25	64
2 0 -2	29.92	20
2 0 2	32.03	31
1 3 -2	35.76	19
0 4 0	36.92	19
2 4 2	49.68	20

Entry 6:
Simulated PXRD pattern of Rb2CaAsI6 for Cu Kα (λ = 1.5418 Å), from a crystal structure in Alexandria, relaxed with GGA-PBE.
Peak positions follow from Bragg's law for the DFT cell and can differ from measured ones.

Cell and atoms:
```
data_Rb2CaAsI6
_symmetry_space_group_name_H-M 'I 4/m m m'
_symmetry_Int_Tables_number 139
_symmetry_space_group_name_Hall '-I 4 2'
_cell_length_a 8.4415
_cell_length_b 8.4415
_cell_length_c 13.2112
_cell_angle_alpha 90.00
_cell_angle_beta 90.00
_cell_angle_gamma 90.00
loop_
_atom_site_label
_atom_site_type_symbol
_atom_site_fract_x
_atom_site_fract_y
_atom_site_fract_z
Rb1 Rb 0.0000 0.5000 0.2500
Ca1 Ca 0.0000 0.0000 0.0000
As1 As 0.0000 0.0000 0.5000
I1 I 0.0000 0.0000 0.2314
I2 I 0.2378 0.2378 0.5000
```

Peak list (10 most intense, 10 to 90 degrees two-theta, sorted by position)
h k l	Position (°2θ)	I/Imax
1 1 0	14.84	11
2 0 2	25.04	100
0 0 4	27.00	34
2 2 0	29.94	54
2 2 4	40.75	43
4 0 0	42.85	19
2 0 6	46.52	16
4 2 2	50.27	28
4 0 4	51.38	21
6 2 4	77.07	12

Entry 7:
Simulated PXRD pattern of Ca2Pm5Tm4 for Cu Kα (λ = 1.5418 Å), from a crystal structure in Alexandria, relaxed with GGA-PBE.
Peak positions follow from Bragg's law for the DFT cell and can differ from measured ones.

Cell and atoms:
```
data_Ca2Pm5Tm4
_symmetry_space_group_name_H-M 'C 1 2/m 1'
_symmetry_Int_Tables_number 12
_cell_length_a 17.3711
_cell_length_b 6.7398
_cell_length_c 6.5936
_cell_angle_alpha 90.00
_cell_angle_beta 96.32
_cell_angle_gamma 90.00
loop_
_symmetry_equiv_pos_as_xyz
'x,y,z'
'-x,-y,-z'
'-x,y,-z'
'x,-y,z'
'x+1/2,y+1/2,z'
'-x+1/2,-y+1/2,-z'
'-x+1/2,y+1/2,-z'
'x+1/2,-y+1/2,z'
loop_
_atom_site_label
_atom_site_type_symbol
_atom_site_fract_x
_atom_site_fract_y
_atom_site_fract_z
Ca1 Ca 0.2021 0.0000 0.3482
Pm1 Pm 0.0000 0.0000 0.5000
Pm2 Pm 0.0890 0.2607 0.8950
Tm1 Tm 0.0788 0.5000 0.3800
Tm2 Tm 0.2445 0.5000 0.1339
```

Peak list (10 most intense, 10 to 90 degrees two-theta, sorted by position)
h k l	Position (°2θ)	I/Imax
0 2 1	29.81	37
2 0 2	30.22	47
5 1 -1	30.90	43
6 0 0	31.08	41
2 2 1	32.10	100
3 1 -2	32.74	52
4 2 0	33.74	31
4 2 -1	35.59	52
2 2 -3	49.90	22
8 2 -3	63.50	32

Entry 8:
Simulated PXRD pattern of La12Al for Cu Kα (λ = 1.5418 Å), from a crystal structure in Alexandria, relaxed with GGA-PBE.
Peak positions follow from Bragg's law for the DFT cell and can differ from measured ones.

Cell and atoms:
```
data_La12Al
_symmetry_space_group_name_H-M 'I m -3'
_symmetry_Int_Tables_number 204
_symmetry_space_group_name_Hall '-I 2 2 3'
_cell_length_a 9.7384
_cell_length_b 9.7384
_cell_length_c 9.7384
_cell_angle_alpha 90.00
_cell_angle_beta 90.00
_cell_angle_gamma 90.00
loop_
_atom_site_label
_atom_site_type_symbol
_atom_site_fract_x
_atom_site_fract_y
_atom_site_fract_z
La1 La 0.0000 0.3164 0.1673
Al1 Al 0.0000 0.0000 0.0000
```

Peak list (10 most intense, 10 to 90 degrees two-theta, sorted by position)
h k l	Position (°2θ)	I/Imax
2 2 0	25.88	19
3 0 1	28.99	100
2 2 2	31.83	14
3 1 2	34.46	60
5 3 0	54.98	40
6 0 0	56.72	15
5 2 3	58.42	17
6 1 3	64.95	17
6 5 3	82.96	15
6 6 0	84.40	11

Entry 9:
Simulated PXRD pattern of Zr6Pd3Rh for Cu Kα (λ = 1.5418 Å), from a crystal structure in Alexandria, relaxed with GGA-PBE.
Peak positions follow from Bragg's law for the DFT cell and can differ from measured ones.

Cell and atoms:
```
data_Zr6Pd3Rh
_symmetry_space_group_name_H-M 'P n n m'
_symmetry_Int_Tables_number 58
_cell_length_a 7.9838
_cell_length_b 10.8225
_cell_length_c 4.7235
_cell_angle_alpha 90.00
_cell_angle_beta 90.00
_cell_angle_gamma 90.00
loop_
_symmetry_equiv_pos_as_xyz
'x,y,z'
'-x,-y,-z'
'-x,-y,z'
'x,y,-z'
'x+1/2,-y+1/2,-z+1/2'
'-x+1/2,y+1/2,z+1/2'
'-x+1/2,y+1/2,-z+1/2'
'x+1/2,-y+1/2,z+1/2'
loop_
_atom_site_label
_atom_site_type_symbol
_atom_site_fract_x
_atom_site_fract_y
_atom_site_fract_z
Zr1 Zr 0.0054 0.2479 0.0000
Zr2 Zr 0.1570 0.0904 0.5000
Zr3 Zr 0.1805 0.4105 0.5000
Pd1 Pd 0.0000 0.5000 0.0000
Pd2 Pd 0.1576 0.6961 0.5000
Rh1 Rh 0.0000 0.0000 0.0000
```

Peak list (10 most intense, 10 to 90 degrees two-theta, sorted by position)
h k l	Position (°2θ)	I/Imax
1 3 1	33.20	62
2 3 0	33.48	26
0 0 2	38.10	54
3 0 1	38.84	100
1 4 1	40.03	46
2 4 0	40.27	24
2 3 2	51.61	15
2 4 2	56.64	17
3 0 3	69.35	17
6 0 2	83.36	10

Entry 10:
Simulated PXRD pattern of Si2As2Br for Cu Kα (λ = 1.5418 Å), from a crystal structure in Alexandria, relaxed with GGA-PBE.
Peak positions follow from Bragg's law for the DFT cell and can differ from measured ones.

Cell and atoms:
```
data_Si2As2Br
_symmetry_space_group_name_H-M 'I 4/m m m'
_symmetry_Int_Tables_number 139
_symmetry_space_group_name_Hall '-I 4 2'
_cell_length_a 4.0956
_cell_length_b 4.0956
_cell_length_c 13.2047
_cell_angle_alpha 90.00
_cell_angle_beta 90.00
_cell_angle_gamma 90.00
loop_
_atom_site_label
_atom_site_type_symbol
_atom_site_fract_x
_atom_site_fract_y
_atom_site_fract_z
Si1 Si 0.0000 0.5000 0.2500
As1 As 0.0000 0.0000 0.1350
Br1 Br 0.0000 0.0000 0.5000
```

Peak list (10 most intense, 10 to 90 degrees two-theta, sorted by position)
h k l	Position (°2θ)	I/Imax
1 0 3	29.80	100
1 1 0	30.88	33
1 1 2	33.80	23
1 0 5	40.65	22
1 1 4	41.48	14
2 0 0	44.23	32
1 1 6	52.20	17
2 1 3	54.24	36
2 1 5	61.62	13
2 0 8	73.72	12

Entry 11:
Simulated PXRD pattern of CsPuCdTe3 for Cu Kα (λ = 1.5418 Å), from a crystal structure in Alexandria, relaxed with GGA-PBE.
Peak positions follow from Bragg's law for the DFT cell and can differ from measured ones.

Cell and atoms:
```
data_CsPuCdTe3
_symmetry_space_group_name_H-M 'P 1 21/m 1'
_symmetry_Int_Tables_number 11
_cell_length_a 10.1302
_cell_length_b 4.6254
_cell_length_c 11.2400
_cell_angle_alpha 90.00
_cell_angle_beta 110.64
_cell_angle_gamma 90.00
loop_
_symmetry_equiv_pos_as_xyz
'x,y,z'
'-x,-y,-z'
'-x,y+1/2,-z'
'x,-y+1/2,z'
loop_
_atom_site_label
_atom_site_type_symbol
_atom_site_fract_x
_atom_site_fract_y
_atom_site_fract_z
Cs1 Cs 0.2222 0.2500 0.2478
Pu1 Pu 0.3252 0.7500 0.8609
Cd1 Cd 0.0854 0.2500 0.6129
Te1 Te 0.1153 0.2500 0.8714
Te2 Te 0.2193 0.7500 0.5475
Te3 Te 0.4748 0.7500 0.1532
```

Peak list (10 most intense, 10 to 90 degrees two-theta, sorted by position)
h k l	Position (°2θ)	I/Imax
1 0 -1	10.12	100
0 0 3	25.40	24
2 1 -1	26.16	84
2 1 0	26.93	44
1 0 3	30.13	29
1 1 -3	30.71	26
3 1 -1	32.87	17
2 1 -4	38.11	37
0 2 0	38.94	29
3 1 2	42.94	27

Entry 12:
Simulated PXRD pattern of Pm4Pr5Sm2 for Cu Kα (λ = 1.5418 Å), from a crystal structure in Alexandria, relaxed with GGA-PBE.
Peak positions follow from Bragg's law for the DFT cell and can differ from measured ones.

Cell and atoms:
```
data_Pm4Pr5Sm2
_symmetry_space_group_name_H-M 'I m m m'
_symmetry_Int_Tables_number 71
_symmetry_space_group_name_Hall '-I 2 2'
_cell_length_a 3.5772
_cell_length_b 9.4675
_cell_length_c 23.6604
_cell_angle_alpha 90.00
_cell_angle_beta 90.00
_cell_angle_gamma 90.00
loop_
_atom_site_label
_atom_site_type_symbol
_atom_site_fract_x
_atom_site_fract_y
_atom_site_fract_z
Pm1 Pm 0.0000 0.0000 0.0959
Pm2 Pm 0.0000 0.3026 0.5000
Pr1 Pr 0.0000 0.2011 0.3519
Pr2 Pr 0.0000 0.5000 0.0000
Sm1 Sm 0.0000 0.0000 0.2303
```

Peak list (10 most intense, 10 to 90 degrees two-theta, sorted by position)
h k l	Position (°2θ)	I/Imax
1 1 0	26.64	25
1 1 2	27.70	36
0 1 7	28.03	27
0 2 6	29.48	59
0 0 8	30.22	24
0 3 3	30.51	62
1 2 1	31.58	100
1 1 6	35.17	30
1 0 7	36.58	45
1 2 13	60.29	29

Entry 13:
Simulated PXRD pattern of Nd3RhAu2 for Cu Kα (λ = 1.5418 Å), from a crystal structure in Alexandria, relaxed with GGA-PBE.
Peak positions follow from Bragg's law for the DFT cell and can differ from measured ones.

Cell and atoms:
```
data_Nd3RhAu2
_symmetry_space_group_name_H-M 'P n m a'
_symmetry_Int_Tables_number 62
_cell_length_a 12.3951
_cell_length_b 4.5735
_cell_length_c 11.0265
_cell_angle_alpha 90.00
_cell_angle_beta 90.00
_cell_angle_gamma 90.00
loop_
_symmetry_equiv_pos_as_xyz
'x,y,z'
'-x,-y,-z'
'-x+1/2,-y,z+1/2'
'x+1/2,y,-z+1/2'
'x+1/2,-y+1/2,-z+1/2'
'-x+1/2,y+1/2,z+1/2'
'-x,y+1/2,-z'
'x,-y+1/2,z'
loop_
_atom_site_label
_atom_site_type_symbol
_atom_site_fract_x
_atom_site_fract_y
_atom_site_fract_z
Nd1 Nd 0.0508 0.2500 0.1216
Nd2 Nd 0.1112 0.7500 0.5575
Nd3 Nd 0.2420 0.2500 0.7905
Rh1 Rh 0.1228 0.2500 0.3686
Au1 Au 0.0053 0.2500 0.7025
Au2 Au 0.1896 0.7500 0.0066
```

Peak list (10 most intense, 10 to 90 degrees two-theta, sorted by position)
h k l	Position (°2θ)	I/Imax
2 1 2	29.18	68
0 1 3	31.22	100
4 0 2	33.16	45
3 1 2	33.44	75
4 1 1	35.94	96
1 1 4	38.83	33
0 2 0	39.40	92
2 1 4	40.90	42
3 0 5	46.69	35
4 2 2	52.40	33